[1]
Computed powder XRD pattern
Compound: Dy5Er2Mg
Radiation: Cu Kα
Structure: a DFT-relaxed cell (GGA-PBE, OQMD)
No peak broadening, texture or thermal motion is included.

a b c (Å): 5.5889 7.0871 7.0871
angles (deg): 60.04 90.00 90.00
Element x y z (fractional)
Dy (0.0000, 0.0000, 0.0000)
Dy (0.0000, 0.0012, 0.5003)
Dy (0.0000, 0.5003, 0.0012)
Dy (0.5000, 0.3281, 0.8364)
Dy (0.5000, 0.8364, 0.3281)
Er (0.0000, 0.5007, 0.5007)
Er (0.5000, 0.8368, 0.8368)
Mg (0.5000, 0.3340, 0.3340)

Top 10 peaks for 5° ≤ 2θ ≤ 70°, sorted by position:
2θ 14.43, I = 6.6
2θ 21.50, I = 5.6
2θ 29.09, I = 24.6
2θ 32.03, I = 24.6
2θ 33.30, I = 100.0
2θ 43.81, I = 16.2
2θ 51.57, I = 19.4
2θ 57.90, I = 20.7
2θ 62.01, I = 22.2
2θ 62.79, I = 16.1

=====

[2]
Computed powder XRD pattern
Compound: DyErMg
Radiation: Cu Kα
Structure: a DFT-relaxed cell (GGA-PBE, OQMD)
No peak broadening, texture or thermal motion is included.

a b c (Å): 8.7629 8.7629 5.4361
angles (deg): 90.00 90.00 156.02
Element x y z (fractional)
Dy (0.2263, 0.7737, 0.7500)
Dy (0.7737, 0.2263, 0.2500)
Er (0.0936, 0.9064, 0.2500)
Er (0.9064, 0.0936, 0.7500)
Mg (0.4350, 0.5650, 0.2500)
Mg (0.5650, 0.4350, 0.7500)

Top 10 peaks for 5° ≤ 2θ ≤ 70°, sorted by position:
2θ 10.32, I = 17.6
2θ 25.00, I = 18.2
2θ 26.48, I = 27.4
2θ 31.31, I = 20.4
2θ 32.95, I = 29.5
2θ 33.52, I = 100.0
2θ 35.49, I = 16.2
2θ 44.56, I = 13.9
2θ 46.09, I = 14.1
2θ 59.21, I = 19.6

=====

[3]
Computed powder XRD pattern
Compound: Dy3Er2Mg3
Radiation: Cu Kα
Structure: a DFT-relaxed cell (GGA-PBE, OQMD)
No peak broadening, texture or thermal motion is included.

a b c (Å): 6.8798 6.8798 5.5638
angles (deg): 90.00 90.00 120.00
Element x y z (fractional)
Dy (0.0031, 0.5016, 0.0000)
Dy (0.4984, 0.5016, 0.0000)
Dy (0.4984, 0.9969, 0.0000)
Er (0.0000, 0.0000, 0.0000)
Er (0.3333, 0.6667, 0.5000)
Mg (0.3410, 0.1705, 0.5000)
Mg (0.8295, 0.1705, 0.5000)
Mg (0.8295, 0.6590, 0.5000)

Top 10 peaks for 5° ≤ 2θ ≤ 70°, sorted by position:
2θ 14.87, I = 11.7
2θ 15.93, I = 26.8
2θ 30.00, I = 35.4
2θ 32.18, I = 24.4
2θ 34.14, I = 100.0
2θ 44.56, I = 24.2
2θ 53.26, I = 17.6
2θ 58.64, I = 21.2
2θ 63.60, I = 20.6
2θ 64.80, I = 15.6

=====

[4]
Computed powder XRD pattern
Compound: DyEr2Mg3Pt3
Radiation: Cu Kα
Structure: a DFT-relaxed cell (GGA-PBE, OQMD)
No peak broadening, texture or thermal motion is included.

a b c (Å): 4.0691 7.3182 7.3182
angles (deg): 120.05 90.00 90.00
Element x y z (fractional)
Dy (0.0000, 0.0000, 0.0000)
Er (0.0000, 0.4099, 0.8189)
Er (0.0000, 0.8189, 0.4099)
Mg (0.5000, 0.1641, 0.4106)
Mg (0.5000, 0.4106, 0.1641)
Mg (0.5000, 0.6555, 0.6555)
Pt (0.0000, 0.4113, 0.4113)
Pt (0.5000, 0.0770, 0.7416)
Pt (0.5000, 0.7416, 0.0770)

Top 10 peaks for 5° ≤ 2θ ≤ 70°, sorted by position:
2θ 24.33, I = 51.6
2θ 26.02, I = 26.9
2θ 32.92, I = 70.5
2θ 35.93, I = 100.0
2θ 42.82, I = 39.8
2θ 43.87, I = 36.9
2θ 44.53, I = 23.8
2θ 57.09, I = 17.1
2θ 63.49, I = 25.0
2θ 68.55, I = 26.7

=====

[5]
Computed powder XRD pattern
Compound: DyErMg2Sn2
Radiation: Cu Kα
Structure: a DFT-relaxed cell (GGA-PBE, OQMD)
No peak broadening, texture or thermal motion is included.

a b c (Å): 8.5059 8.5059 8.5059
angles (deg): 150.17 150.17 42.70
Element x y z (fractional)
Dy (0.0000, 0.0000, 0.0000)
Er (0.3339, 0.3339, 0.0000)
Mg (0.1672, 0.6672, 0.5000)
Mg (0.6672, 0.1672, 0.5000)
Sn (0.5309, 0.5309, 0.0000)
Sn (0.8030, 0.8030, 0.0000)

Top 10 peaks for 5° ≤ 2θ ≤ 70°, sorted by position:
2θ 11.17, I = 33.4
2θ 22.45, I = 40.5
2θ 28.83, I = 100.0
2θ 31.01, I = 38.8
2θ 33.95, I = 27.8
2θ 34.95, I = 32.7
2θ 36.84, I = 78.6
2θ 41.23, I = 55.6
2θ 45.12, I = 32.5
2θ 54.44, I = 29.1

=====

[6]
Computed powder XRD pattern
Compound: DyEr2Mg4Tl2
Radiation: Cu Kα
Structure: a DFT-relaxed cell (GGA-PBE, OQMD)
No peak broadening, texture or thermal motion is included.

a b c (Å): 4.6229 7.5580 7.5580
angles (deg): 120.15 90.00 90.00
Element x y z (fractional)
Dy (0.0000, 0.0000, 0.0000)
Er (0.0000, 0.4357, 0.8725)
Er (0.0000, 0.8725, 0.4357)
Mg (0.0000, 0.4379, 0.4379)
Mg (0.5000, 0.1942, 0.4361)
Mg (0.5000, 0.4361, 0.1942)
Mg (0.5000, 0.6787, 0.6787)
Tl (0.5000, 0.1029, 0.7682)
Tl (0.5000, 0.7682, 0.1029)

Top 10 peaks for 5° ≤ 2θ ≤ 70°, sorted by position:
2θ 13.54, I = 70.4
2θ 23.56, I = 23.0
2θ 30.57, I = 100.0
2θ 33.57, I = 86.5
2θ 36.34, I = 26.4
2θ 38.97, I = 23.0
2θ 41.42, I = 31.2
2θ 46.03, I = 18.1
2θ 54.31, I = 22.0
2θ 65.43, I = 30.5

=====

[7]
Computed powder XRD pattern
Compound: Dy2ErMg4Tl2
Radiation: Cu Kα
Structure: a DFT-relaxed cell (GGA-PBE, OQMD)
No peak broadening, texture or thermal motion is included.

a b c (Å): 4.6375 7.5593 7.5593
angles (deg): 119.82 90.00 90.00
Element x y z (fractional)
Dy (0.0000, 0.2179, 0.7821)
Dy (0.0000, 0.7821, 0.2179)
Er (0.0000, 0.6548, 0.6548)
Mg (0.0000, 0.2201, 0.2201)
Mg (0.5000, 0.2183, 0.4603)
Mg (0.5000, 0.4603, 0.2183)
Mg (0.5000, 0.9771, 0.9771)
Tl (0.5000, 0.5519, 0.8839)
Tl (0.5000, 0.8839, 0.5519)

Top 10 peaks for 5° ≤ 2θ ≤ 70°, sorted by position:
2θ 13.51, I = 69.9
2θ 23.51, I = 23.3
2θ 30.49, I = 100.0
2θ 33.49, I = 85.8
2θ 36.25, I = 17.8
2θ 38.84, I = 23.0
2θ 41.30, I = 26.8
2θ 45.90, I = 14.8
2θ 54.18, I = 27.3
2θ 65.18, I = 28.3

=====

[8]
Computed powder XRD pattern
Compound: DyErTm2Mg2
Radiation: Cu Kα
Structure: a DFT-relaxed cell (GGA-PBE, OQMD)
No peak broadening, texture or thermal motion is included.

a b c (Å): 5.4238 8.7587 8.7587
angles (deg): 23.75 90.00 90.00
Element x y z (fractional)
Dy (0.0000, 0.0000, 0.0000)
Er (0.5000, 0.1908, 0.1908)
Tm (0.0000, 0.3214, 0.3214)
Tm (0.5000, 0.8691, 0.8691)
Mg (0.0000, 0.6599, 0.6599)
Mg (0.5000, 0.5310, 0.5310)

Top 10 peaks for 5° ≤ 2θ ≤ 70°, sorted by position:
2θ 10.32, I = 23.7
2θ 25.25, I = 17.2
2θ 26.51, I = 26.7
2θ 31.31, I = 19.9
2θ 33.03, I = 30.1
2θ 33.73, I = 100.0
2θ 35.51, I = 18.9
2θ 44.73, I = 14.2
2θ 46.15, I = 13.7
2θ 59.44, I = 19.7